[1]
Structure and theoretical powder diffraction line list of ZnGa2Te2Se2 (DFT lattice parameters and positions (GGA-PBE); a wavelength of 1.5418 Å).
Lines closer than 0.1° are merged.

Cell and atoms:
Lattice parameters (Å, degrees): 5.813 5.863 7.016 113.49 114.08 90.06
Space group P1 (No. 1)
Inequivalent atoms, fractional coordinates:
Zn 0.000 0.000 0.000
Ga 0.272 0.768 0.498
Ga 0.500 0.535 0.997
Te 0.098 0.152 0.724
Te 0.869 0.389 0.274
Se 0.396 0.904 0.256
Se 0.633 0.628 0.739

The 10 most intense peaks (5° ≤ 2θ ≤ 70°), in order of rising 2θ:
2theta	d (Å)	I (rel.)	(hkl)
26.3	3.388	100	1 1 0
26.4	3.374	100	-1 1 1
26.7	3.339	83	1 -1 1
26.8	3.321	82	1 1 -2
43.5	2.078	43	0 2 1
43.9	2.064	81	2 -2 0
44.1	2.053	40	2 0 1
44.4	2.039	39	2 0 -3
44.6	2.031	36	0 2 -3
52.2	1.754	51	3 -1 0

[2]
Structure and theoretical powder diffraction line list of Zn2GeTe3 (DFT lattice parameters and positions (GGA-PBE); a wavelength of 1.5418 Å).
Lines closer than 0.1° are merged.

Cell and atoms:
Lattice parameters (Å, degrees): 4.062 13.803 11.046 90.00 90.00 90.00
Space group Cmcm (No. 63)
Inequivalent atoms, fractional coordinates:
Zn 0.000 0.000 0.000
Zn 0.000 0.489 0.250
Ge 0.000 0.215 0.750
Te 0.000 0.112 0.250
Te 0.000 0.364 0.067

The 10 most intense peaks (5° ≤ 2θ ≤ 70°), in order of rising 2θ:
2theta	d (Å)	I (rel.)	(hkl)
27.5	3.248	55	0 2 3
30.5	2.935	51	1 3 1
32.4	2.761	18	0 0 4
33.5	2.676	18	1 1 3
33.6	2.667	100	1 3 2
42.9	2.110	22	1 5 2
44.6	2.031	26	2 0 0
46.6	1.951	24	0 6 3
51.1	1.788	18	1 3 5
53.2	1.722	17	2 2 3

[3]
Structure and theoretical powder diffraction line list of La2Sm2Se3O4 (DFT lattice parameters and positions (GGA-PBE); a wavelength of 1.5418 Å).
Lines closer than 0.1° are merged.

Cell and atoms:
Lattice parameters (Å, degrees): 8.409 4.014 12.947 90.00 90.00 90.00
Space group Amm2 (No. 38)
Inequivalent atoms, fractional coordinates:
La 0.000 0.000 0.000
La 0.500 0.000 0.018
Sm 0.237 0.000 0.685
Se 0.000 0.000 0.310
Se 0.348 0.000 0.354
O 0.000 0.000 0.591
O 0.244 0.000 0.092
O 0.500 0.000 0.620

The 10 most intense peaks (5° ≤ 2θ ≤ 70°), in order of rising 2θ:
2theta	d (Å)	I (rel.)	(hkl)
25.3	3.526	54	2 0 2
30.4	2.939	100	0 1 3
31.6	2.833	55	2 1 1
35.0	2.565	29	2 0 4
41.9	2.158	14	0 0 6
45.2	2.007	20	0 2 0
47.0	1.932	23	2 1 5
52.5	1.744	15	2 2 2
53.6	1.710	17	4 1 3
58.4	1.581	17	2 2 4

[4]
Structure and theoretical powder diffraction line list of Rb4GeOsSe6 (DFT lattice parameters and positions (GGA-PBE); a wavelength of 1.5418 Å).
Lines closer than 0.1° are merged.

Cell and atoms:
Lattice parameters (Å, degrees): 7.088 7.848 9.468 71.43 69.01 64.12
Space group P1 (No. 1)
Inequivalent atoms, fractional coordinates:
Rb 0.000 0.000 0.000
Rb 0.187 0.382 0.251
Rb 0.410 0.748 0.451
Rb 0.756 0.668 0.808
Ge 0.462 0.256 0.818
Os 0.716 0.139 0.439
Se 0.276 0.579 0.854
Se 0.368 0.185 0.614
Se 0.474 0.012 0.041
Se 0.707 0.376 0.215
Se 0.824 0.204 0.621
Se 0.900 0.822 0.398

The 10 most intense peaks (5° ≤ 2θ ≤ 70°), in order of rising 2θ:
2theta	d (Å)	I (rel.)	(hkl)
12.8	6.928	50	0 1 0
14.4	6.163	26	1 0 0
14.7	6.035	35	1 1 1
15.4	5.769	80	1 0 1
25.1	3.543	95	2 1 1
25.8	3.456	100	0 2 1
26.3	3.393	63	0 1 -2
29.8	3.001	36	0 2 2
31.1	2.872	33	0 1 3
42.4	2.132	34	0 3 -1

[5]
Structure and theoretical powder diffraction line list of MgZnAg6 (DFT lattice parameters and positions (GGA-PBE); a wavelength of 1.5418 Å).
Lines closer than 0.1° are merged.

Cell and atoms:
Lattice parameters (Å, degrees): 5.8484 5.8484 4.7572 90.00 90.00 120.00
Space group P-6m2 (No. 187)
Inequivalent atoms, fractional coordinates:
Mg 0.0000 0.0000 0.0000
Zn 0.6667 0.3333 0.5000
Ag 0.1663 0.3326 0.5000
Ag 0.5019 0.0038 0.0000

The 10 most intense peaks (5° ≤ 2θ ≤ 70°), in order of rising 2θ:
2theta	d (Å)	I (rel.)	(hkl)
17.5	5.065	5	1 0 0
25.7	3.468	10	1 0 1
30.6	2.924	4	1 1 0
35.4	2.532	24	2 0 0
37.8	2.379	27	0 0 2
40.3	2.235	100	2 0 1
49.4	1.845	2	1 1 2
51.5	1.776	2	2 1 1
52.8	1.734	15	2 0 2
63.6	1.462	16	2 2 0

[6]
Structure and theoretical powder diffraction line list of Pu2Si4Tc3 (DFT lattice parameters and positions (GGA-PBE); a wavelength of 1.5418 Å).
Lines closer than 0.1° are merged.

Cell and atoms:
Lattice parameters (Å, degrees): 6.832 8.032 5.653 90.00 104.03 90.00
Space group P2_1/c (No. 14)
Inequivalent atoms, fractional coordinates:
Pu 0.247 0.058 0.071
Si 0.079 0.748 0.277
Si 0.373 0.096 0.614
Tc 0.000 0.000 0.500
Tc 0.386 0.707 0.113

The 10 most intense peaks (5° ≤ 2θ ≤ 70°), in order of rising 2θ:
2theta	d (Å)	I (rel.)	(hkl)
19.6	4.529	60	0 1 1
25.9	3.434	45	1 1 1
28.9	3.091	57	1 2 -1
30.1	2.973	90	2 1 -1
32.2	2.784	65	1 0 -2
36.2	2.482	100	1 3 0
36.7	2.451	95	2 1 1
38.4	2.341	32	1 0 2
41.7	2.164	39	3 1 -1
47.5	1.916	35	0 3 2

[7]
Structure and theoretical powder diffraction line list of GePt15 (DFT lattice parameters and positions (GGA-PBE); a wavelength of 1.5418 Å).
Lines closer than 0.1° are merged.

Cell and atoms:
Lattice parameters (Å, degrees): 3.943 3.946 45.404 90.00 90.00 90.00
Space group Pmma (No. 51)
Inequivalent atoms, fractional coordinates:
Ge 0.250 0.000 0.171
Pt 0.250 0.000 0.258
Pt 0.250 0.000 0.345
Pt 0.250 0.000 0.434
Pt 0.250 0.000 0.522
Pt 0.250 0.000 0.610
Pt 0.250 0.000 0.699
Pt 0.250 0.000 0.788
Pt 0.250 0.500 0.212
Pt 0.250 0.500 0.301
Pt 0.250 0.500 0.390
Pt 0.250 0.500 0.478
Pt 0.250 0.500 0.566
Pt 0.250 0.500 0.655
Pt 0.250 0.500 0.744
Pt 0.250 0.500 0.832

The 10 most intense peaks (5° ≤ 2θ ≤ 70°), in order of rising 2θ:
2theta	d (Å)	I (rel.)	(hkl)
7.8	11.351	7	0 0 4
9.7	9.081	5	0 0 5
36.8	2.441	5	1 1 9
39.0	2.311	100	1 1 11
40.2	2.245	49	1 1 12
43.9	2.064	11	0 0 22
46.0	1.973	57	2 0 0
46.1	1.970	6	2 0 1
65.5	1.426	14	2 0 22
67.1	1.395	35	2 2 0

[8]
Structure and theoretical powder diffraction line list of TbTmAl2Ni4 (DFT lattice parameters and positions (GGA-PBE); a wavelength of 1.5418 Å).
Lines closer than 0.1° are merged.

Cell and atoms:
Lattice parameters (Å, degrees): 4.1326 4.1326 8.8422 90.00 90.00 120.00
Space group P-6m2 (No. 187)
Inequivalent atoms, fractional coordinates:
Tb 0.0000 0.0000 0.0000
Tm 0.6667 0.3333 0.5000
Al 0.3333 0.6667 0.2546
Ni 0.0000 0.0000 0.3189
Ni 0.6667 0.3333 0.1902

The 10 most intense peaks (5° ≤ 2θ ≤ 70°), in order of rising 2θ:
2theta	d (Å)	I (rel.)	(hkl)
24.9	3.579	40	1 0 0
26.9	3.318	42	1 0 1
32.2	2.782	12	1 0 2
39.6	2.275	100	1 0 3
40.8	2.211	9	0 0 4
43.8	2.066	63	1 1 0
52.1	1.754	7	2 0 1
60.5	1.530	28	2 0 3
61.4	1.510	15	1 1 4
68.9	1.363	8	1 0 6

[9]
Structure and theoretical powder diffraction line list of Tm3Zn3CuIrPt (DFT lattice parameters and positions (GGA-PBE); a wavelength of 1.5418 Å).
Lines closer than 0.1° are merged.

Cell and atoms:
Lattice parameters (Å, degrees): 7.1850 7.1850 3.7439 90.00 90.00 120.00
Space group P-6 (No. 174)
Inequivalent atoms, fractional coordinates:
Tm 0.0801 0.3401 0.0000
Zn 0.4220 0.3360 0.5000
Cu 0.6667 0.3333 0.0000
Ir 0.3333 0.6667 0.5000
Pt 0.0000 0.0000 0.5000

The 10 most intense peaks (5° ≤ 2θ ≤ 70°), in order of rising 2θ:
2theta	d (Å)	I (rel.)	(hkl)
14.2	6.222	25	1 0 0
24.8	3.592	18	1 1 0
34.6	2.592	100	1 1 1
37.6	2.393	77	2 0 1
38.3	2.352	36	1 2 0
43.6	2.074	32	3 0 0
45.5	1.992	19	2 1 1
48.6	1.872	20	0 0 2
63.5	1.465	16	1 2 2
67.4	1.390	17	3 0 2

[10]
Structure and theoretical powder diffraction line list of Sr2ZnGe2S6O (DFT lattice parameters and positions (GGA-PBE); a wavelength of 1.5418 Å).
Lines closer than 0.1° are merged.

Cell and atoms:
Lattice parameters (Å, degrees): 9.495 9.495 6.222 90.00 90.00 90.00
Space group P-42_1m (No. 113)
Inequivalent atoms, fractional coordinates:
Sr 0.158 0.342 0.000
Zn 0.000 0.000 0.500
Ge 0.127 0.627 0.424
S 0.063 0.825 0.254
S 0.135 0.635 0.772
O 0.000 0.500 0.302

The 10 most intense peaks (5° ≤ 2θ ≤ 70°), in order of rising 2θ:
2theta	d (Å)	I (rel.)	(hkl)
23.6	3.774	24	2 0 1
25.4	3.507	100	2 1 1
29.8	3.002	29	3 1 0
30.2	2.956	12	1 0 2
35.8	2.510	16	2 1 2
37.9	2.374	12	4 0 0
40.3	2.238	12	3 3 0
41.8	2.160	37	3 1 2
48.9	1.863	13	2 1 3
54.1	1.696	15	5 2 1

[11]
Structure and theoretical powder diffraction line list of Fe2Pb2W3 (DFT lattice parameters and positions (GGA-PBE); a wavelength of 1.5418 Å).
Lines closer than 0.1° are merged.

Cell and atoms:
Lattice parameters (Å, degrees): 4.3944 4.3944 21.3075 90.00 90.00 120.00
Space group R3m (No. 160, hexagonal axes)
Inequivalent atoms, fractional coordinates:
Fe 0.0000 0.0000 0.0000
Fe 0.0000 0.0000 0.4606
Pb 0.0000 0.0000 0.1593
Pb 0.0000 0.0000 0.7293
W 0.0000 0.0000 0.3068
W 0.0000 0.0000 0.5920
W 0.0000 0.0000 0.8879

The 10 most intense peaks (5° ≤ 2θ ≤ 70°), in order of rising 2θ:
2theta	d (Å)	I (rel.)	(hkl)
12.5	7.103	13	0 0 3
24.8	3.584	13	0 1 2
31.5	2.839	22	0 1 5
37.8	2.377	100	1 0 7
41.1	2.197	89	1 1 0
52.7	1.737	5	2 0 5
57.1	1.614	31	0 2 7
66.1	1.413	15	0 1 14
67.9	1.381	11	1 1 12
68.9	1.363	5	1 2 5

[12]
Structure and theoretical powder diffraction line list of PdF4 (DFT lattice parameters and positions (GGA-PBE); a wavelength of 1.5418 Å).
Lines closer than 0.1° are merged.

Cell and atoms:
Lattice parameters (Å, degrees): 5.647 6.263 3.083 90.00 90.00 90.00
Space group Cmmm (No. 65)
Inequivalent atoms, fractional coordinates:
Pd 0.000 0.000 0.000
F 0.000 0.304 0.000
F 0.221 0.000 0.500

The 10 most intense peaks (5° ≤ 2θ ≤ 70°), in order of rising 2θ:
2theta	d (Å)	I (rel.)	(hkl)
21.2	4.194	100	1 1 0
28.5	3.132	32	0 2 0
29.0	3.083	26	0 0 1
31.7	2.823	21	2 0 0
36.2	2.484	37	1 1 1
43.5	2.082	47	2 0 1
46.4	1.958	25	1 3 0
52.8	1.734	21	2 2 1
55.6	1.653	23	1 3 1
59.4	1.556	15	3 1 1